1.
Starting from DFT lattice parameters and positions (PBE), the X-ray powder pattern of KPdI was computed for λ = 1.5418 Å (Cu Kα).

The 10 most intense peaks (5° ≤ 2θ ≤ 70°), by angle:
18.38 deg, intensity 72; 21.82 deg, intensity 23; 28.67 deg, intensity 100; 37.25 deg, intensity 24; 38.27 deg, intensity 68; 42.77 deg, intensity 50; 48.51 deg, intensity 22; 54.47 deg, intensity 47; 63.41 deg, intensity 19; 69.19 deg, intensity 11

Atomic structure:
a b c (Å): 4.704 4.704 4.828
angles (deg): 90.00 90.00 120.00
Positions (direct):
K 0.000 0.000 0.000
Pd 0.667 0.333 0.500
I 0.333 0.667 0.500

2.
Starting from DFT lattice parameters and positions (PBE), the X-ray powder pattern of K4PdI6 was computed for λ = 1.5418 Å (Cu Kα).

The 10 most intense peaks (5° ≤ 2θ ≤ 70°), by angle:
12.92 deg, intensity 91; 22.49 deg, intensity 46; 27.65 deg, intensity 85; 29.09 deg, intensity 100; 29.27 deg, intensity 42; 30.56 deg, intensity 42; 32.01 deg, intensity 27; 37.30 deg, intensity 25; 41.61 deg, intensity 26; 47.95 deg, intensity 45

Atomic structure:
a b c (Å): 9.708 9.708 9.643
angles (deg): 90.00 90.00 90.00
Positions (direct):
K 0.178 0.322 0.250
K 0.178 0.322 0.750
K 0.322 0.822 0.250
K 0.322 0.822 0.750
K 0.678 0.178 0.250
K 0.678 0.178 0.750
K 0.822 0.678 0.250
K 0.822 0.678 0.750
Pd 0.000 0.000 0.000
Pd 0.500 0.500 0.500
I 0.000 0.000 0.290
I 0.000 0.000 0.710
I 0.083 0.702 0.000
I 0.202 0.583 0.500
I 0.298 0.083 0.000
I 0.417 0.202 0.500
I 0.500 0.500 0.210
I 0.500 0.500 0.790
I 0.583 0.798 0.500
I 0.702 0.917 0.000
I 0.798 0.417 0.500
I 0.917 0.298 0.000

3.
Starting from DFT lattice parameters and positions (PBE), the X-ray powder pattern of KPrTeI was computed for λ = 1.5418 Å (Cu Kα).

The 10 most intense peaks (5° ≤ 2θ ≤ 70°), by angle:
10.14 deg, intensity 40; 23.76 deg, intensity 44; 28.50 deg, intensity 100; 33.16 deg, intensity 35; 39.96 deg, intensity 43; 41.37 deg, intensity 18; 41.53 deg, intensity 27; 49.81 deg, intensity 21; 58.93 deg, intensity 29; 65.68 deg, intensity 18

Atomic structure:
a b c (Å): 4.513 4.513 26.170
angles (deg): 90.00 90.00 120.00
Positions (direct):
K 0.000 0.000 0.000
K 0.333 0.667 0.667
K 0.667 0.333 0.333
Pr 0.000 0.000 0.819
Pr 0.333 0.667 0.485
Pr 0.667 0.333 0.152
Te 0.000 0.000 0.417
Te 0.333 0.667 0.083
Te 0.667 0.333 0.750
I 0.000 0.000 0.233
I 0.333 0.667 0.900
I 0.667 0.333 0.566

4.
Starting from DFT lattice parameters and positions (PBE), the X-ray powder pattern of KRb2PtI6 was computed for λ = 1.5418 Å (Cu Kα).

The 10 most intense peaks (5° ≤ 2θ ≤ 70°), by angle:
10.38 deg, intensity 100; 13.13 deg, intensity 46; 14.44 deg, intensity 21; 26.95 deg, intensity 45; 28.30 deg, intensity 69; 30.51 deg, intensity 22; 32.04 deg, intensity 39; 35.55 deg, intensity 22; 38.16 deg, intensity 18; 44.90 deg, intensity 39

Atomic structure:
a b c (Å): 17.663 17.663 17.663
angles (deg): 26.43 26.43 26.43
Positions (direct):
K 0.083 0.083 0.083
K 0.917 0.917 0.917
Rb 0.191 0.191 0.191
Rb 0.359 0.359 0.359
Rb 0.641 0.641 0.641
Rb 0.809 0.809 0.809
Pt 0.000 0.000 0.000
Pt 0.500 0.500 0.500
I 0.132 0.132 0.643
I 0.132 0.643 0.132
I 0.209 0.693 0.693
I 0.307 0.307 0.791
I 0.307 0.791 0.307
I 0.357 0.868 0.868
I 0.643 0.132 0.132
I 0.693 0.209 0.693
I 0.693 0.693 0.209
I 0.791 0.307 0.307
I 0.868 0.357 0.868
I 0.868 0.868 0.357

5.
Starting from DFT lattice parameters and positions (PBE), the X-ray powder pattern of KPu2I6 was computed for λ = 1.5418 Å (Cu Kα).

The 10 most intense peaks (5° ≤ 2θ ≤ 70°), by angle:
12.94 deg, intensity 99; 14.68 deg, intensity 25; 20.21 deg, intensity 20; 24.59 deg, intensity 100; 32.41 deg, intensity 88; 37.53 deg, intensity 56; 42.63 deg, intensity 33; 50.42 deg, intensity 22; 63.53 deg, intensity 22; 64.52 deg, intensity 21

Atomic structure:
a b c (Å): 8.818 8.818 8.818
angles (deg): 56.16 56.16 56.16
Positions (direct):
K 0.000 0.000 0.000
Pu 0.504 0.504 0.504
Pu 0.689 0.689 0.689
I 0.091 0.447 0.761
I 0.324 0.905 0.562
I 0.447 0.761 0.091
I 0.562 0.324 0.905
I 0.761 0.091 0.447
I 0.905 0.562 0.324

6.
Starting from DFT lattice parameters and positions (PBE), the X-ray powder pattern of KPuI4 was computed for λ = 1.5418 Å (Cu Kα).

The 10 most intense peaks (5° ≤ 2θ ≤ 70°), by angle:
13.08 deg, intensity 97; 14.81 deg, intensity 100; 18.66 deg, intensity 49; 26.31 deg, intensity 52; 28.26 deg, intensity 41; 28.83 deg, intensity 71; 31.58 deg, intensity 40; 32.76 deg, intensity 48; 43.30 deg, intensity 39; 44.19 deg, intensity 38

Atomic structure:
a b c (Å): 11.984 11.984 8.346
angles (deg): 90.00 90.00 150.05
Positions (direct):
K 0.181 0.819 0.500
K 0.819 0.181 0.000
Pu 0.408 0.592 0.421
Pu 0.592 0.408 0.921
I 0.090 0.910 0.903
I 0.297 0.703 0.221
I 0.340 0.660 0.729
I 0.472 0.528 0.090
I 0.528 0.472 0.590
I 0.660 0.340 0.229
I 0.703 0.297 0.721
I 0.910 0.090 0.403

7.
Starting from DFT lattice parameters and positions (PBE), the X-ray powder pattern of KPuScI6 was computed for λ = 1.5418 Å (Cu Kα).

The 10 most intense peaks (5° ≤ 2θ ≤ 70°), by angle:
11.23 deg, intensity 36; 13.08 deg, intensity 16; 17.27 deg, intensity 23; 21.41 deg, intensity 13; 25.45 deg, intensity 100; 32.27 deg, intensity 63; 39.97 deg, intensity 35; 41.42 deg, intensity 31; 47.98 deg, intensity 13; 52.27 deg, intensity 14

Atomic structure:
a b c (Å): 7.814 7.814 15.760
angles (deg): 90.00 90.00 120.00
Positions (direct):
K 0.000 0.000 0.000
K 0.000 0.000 0.500
Pu 0.333 0.667 0.250
Pu 0.667 0.333 0.750
Sc 0.333 0.667 0.750
Sc 0.667 0.333 0.250
I 0.023 0.373 0.639
I 0.023 0.651 0.861
I 0.349 0.373 0.861
I 0.349 0.977 0.639
I 0.373 0.023 0.139
I 0.373 0.349 0.361
I 0.627 0.651 0.639
I 0.627 0.977 0.861
I 0.651 0.023 0.361
I 0.651 0.627 0.139
I 0.977 0.349 0.139
I 0.977 0.627 0.361

8.
Starting from DFT lattice parameters and positions (PBE), the X-ray powder pattern of KPuTl2I6 was computed for λ = 1.5418 Å (Cu Kα).

The 10 most intense peaks (5° ≤ 2θ ≤ 70°), by angle:
12.45 deg, intensity 36; 14.14 deg, intensity 40; 19.54 deg, intensity 36; 23.67 deg, intensity 95; 28.51 deg, intensity 36; 31.30 deg, intensity 100; 35.41 deg, intensity 31; 36.00 deg, intensity 61; 41.24 deg, intensity 42; 48.44 deg, intensity 24

Atomic structure:
a b c (Å): 9.109 9.109 9.109
angles (deg): 56.63 56.63 56.63
Positions (direct):
K 0.000 0.000 0.000
Pu 0.491 0.491 0.491
Tl 0.294 0.294 0.294
Tl 0.805 0.805 0.805
I 0.127 0.691 0.399
I 0.251 0.607 0.843
I 0.399 0.127 0.691
I 0.607 0.843 0.251
I 0.691 0.399 0.127
I 0.843 0.251 0.607

9.
Starting from DFT lattice parameters and positions (PBE), the X-ray powder pattern of KRb4I5 was computed for λ = 1.5418 Å (Cu Kα).

The 10 most intense peaks (5° ≤ 2θ ≤ 70°), by angle:
20.75 deg, intensity 10; 24.00 deg, intensity 100; 34.20 deg, intensity 79; 40.34 deg, intensity 6; 42.21 deg, intensity 29; 49.14 deg, intensity 14; 53.89 deg, intensity 2; 55.39 deg, intensity 26; 55.44 deg, intensity 12; 61.23 deg, intensity 28

Atomic structure:
a b c (Å): 18.892 18.892 18.892
angles (deg): 164.04 164.04 22.65
Positions (direct):
K 0.000 0.000 0.000
Rb 0.199 0.199 0.000
Rb 0.401 0.401 0.000
Rb 0.599 0.599 0.000
Rb 0.801 0.801 0.000
I 0.097 0.097 0.000
I 0.300 0.300 0.000
I 0.500 0.500 0.000
I 0.700 0.700 0.000
I 0.903 0.903 0.000

10.
Starting from DFT lattice parameters and positions (PBE), the X-ray powder pattern of K4RbI5 was computed for λ = 1.5418 Å (Cu Kα).

The 10 most intense peaks (5° ≤ 2θ ≤ 70°), by angle:
21.30 deg, intensity 34; 24.64 deg, intensity 100; 35.12 deg, intensity 77; 41.44 deg, intensity 18; 43.37 deg, intensity 28; 50.52 deg, intensity 13; 55.42 deg, intensity 8; 56.99 deg, intensity 36; 63.02 deg, intensity 26; 67.33 deg, intensity 6

Atomic structure:
a b c (Å): 18.416 18.416 18.416
angles (deg): 164.05 164.05 22.64
Positions (direct):
K 0.101 0.101 0.000
K 0.299 0.299 0.000
K 0.701 0.701 0.000
K 0.899 0.899 0.000
Rb 0.500 0.500 0.000
I 0.000 0.000 0.000
I 0.201 0.201 0.000
I 0.398 0.398 0.000
I 0.602 0.602 0.000
I 0.799 0.799 0.000